# 1
Starting from DFT lattice parameters and positions (PBE), the powder diffractogram of Pm2Sc2Tl3 was calculated for Cu Kα, 1.54184 Å.

Atomic structure:
```
data_Pm2Sc2Tl3
_symmetry_space_group_name_H-M 'C m m m'
_symmetry_Int_Tables_number 65
_symmetry_space_group_name_Hall '-C 2 2'
_cell_length_a 4.5492
_cell_length_b 24.4187
_cell_length_c 3.3707
_cell_angle_alpha 90.00
_cell_angle_beta 90.00
_cell_angle_gamma 90.00
loop_
_atom_site_label
_atom_site_type_symbol
_atom_site_fract_x
_atom_site_fract_y
_atom_site_fract_z
Pm1 Pm 0.0000 0.0759 0.0000
Sc1 Sc 0.0000 0.2081 0.0000
Tl1 Tl 0.0000 0.3388 0.5000
Tl2 Tl 0.0000 0.5000 0.5000
```

Most intense lines, 2θ = 10–90°, by intensity:
d (Å)  I_rel  (hkl)
2.692  100  1 1 1
2.768  81  1 7 0
2.596  71  0 6 1
1.711  41  2 6 1
3.329  38  1 5 0
2.275  31  2 0 0
1.543  25  1 13 1
1.440  22  1 7 2
4.070  14  0 6 0
1.381  13  3 1 1
1.685  12  0 0 2
2.035  12  0 12 0

***

# 2
Starting from DFT lattice parameters and positions (PBE), the powder diffractogram of Pm3ScTl3 was calculated for Cu Kα, 1.54184 Å.

Atomic structure:
```
data_Pm3ScTl3
_symmetry_space_group_name_H-M 'P 63/m'
_symmetry_Int_Tables_number 176
_symmetry_space_group_name_Hall '-P 6c'
_cell_length_a 9.4230
_cell_length_b 9.4230
_cell_length_c 5.3321
_cell_angle_alpha 90.00
_cell_angle_beta 90.00
_cell_angle_gamma 120.00
loop_
_atom_site_label
_atom_site_type_symbol
_atom_site_fract_x
_atom_site_fract_y
_atom_site_fract_z
Pm1 Pm 0.0113 0.2445 0.2500
Sc1 Sc 0.3333 0.6667 0.2500
Tl1 Tl 0.0824 0.4606 0.7500
```

Most intense lines, 2θ = 10–90°, by intensity:
d (Å)  I_rel  (hkl)
2.669  100  0 0 2
1.481  20  1 4 2
3.084  19  2 1 0
1.540  18  2 1 3
1.781  11  1 4 0
2.017  11  2 1 2
4.711  10  1 1 0
4.464  7  1 0 1
1.139  6  3 5 1
1.165  4  4 2 3
1.905  4  4 0 1
1.335  3  4 2 2

***

# 3
Starting from DFT lattice parameters and positions (PBE), the powder diffractogram of Pm2ScTl3 was calculated for Cu Kα, 1.54184 Å.

Atomic structure:
```
data_Pm2ScTl3
_symmetry_space_group_name_H-M 'P 4/m m m'
_symmetry_Int_Tables_number 123
_symmetry_space_group_name_Hall '-P 4 2'
_cell_length_a 3.7391
_cell_length_b 3.7391
_cell_length_c 11.6733
_cell_angle_alpha 90.00
_cell_angle_beta 90.00
_cell_angle_gamma 90.00
loop_
_atom_site_label
_atom_site_type_symbol
_atom_site_fract_x
_atom_site_fract_y
_atom_site_fract_z
Pm1 Pm 0.0000 0.0000 0.1769
Sc1 Sc 0.0000 0.0000 0.5000
Tl1 Tl 0.5000 0.5000 0.0000
Tl2 Tl 0.5000 0.5000 0.3541
```

Most intense lines, 2θ = 10–90°, by intensity:
d (Å)  I_rel  (hkl)
2.696  100  1 0 3
2.644  51  1 1 0
1.536  37  2 1 3
1.870  19  2 0 0
1.567  15  1 1 6
3.148  10  1 0 2
1.348  9  2 0 6
3.739  9  1 0 0
1.182  8  3 1 0
1.187  8  3 0 3
1.946  8  0 0 6
1.750  6  1 1 5

***

# 4
Starting from DFT lattice parameters and positions (PBE), the powder diffractogram of Pm8ScTl6 was calculated for Cu Kα, 1.54184 Å.

Atomic structure:
```
data_Pm8ScTl6
_symmetry_space_group_name_H-M 'R -3'
_symmetry_Int_Tables_number 148
_symmetry_space_group_name_Hall '-R 3'
_cell_length_a 9.2044
_cell_length_b 9.2044
_cell_length_c 19.8043
_cell_angle_alpha 90.00
_cell_angle_beta 90.00
_cell_angle_gamma 120.00
loop_
_atom_site_label
_atom_site_type_symbol
_atom_site_fract_x
_atom_site_fract_y
_atom_site_fract_z
Pm1 Pm 0.0000 0.0000 0.1643
Pm2 Pm 0.0016 0.3396 0.3888
Sc1 Sc 0.0000 0.0000 0.5000
Tl1 Tl 0.9995 0.3183 0.5582
```

Most intense lines, 2θ = 10–90°, by intensity:
d (Å)  I_rel  (hkl)
2.682  100  2 -1 6
2.657  91  3 0 0
1.539  35  5 -1 6
1.888  35  2 2 6
4.602  30  1 1 0
1.553  21  1 1 12
1.197  16  4 1 12
1.534  16  3 3 0
1.191  14  5 2 6
1.341  12  4 -2 12
3.775  12  2 -1 3
1.329  10  6 0 0

***

# 5
Starting from DFT lattice parameters and positions (PBE), the powder diffractogram of Pm5ScTl8 was calculated for Cu Kα, 1.54184 Å.

Atomic structure:
```
data_Pm5ScTl8
_symmetry_space_group_name_H-M 'I -4'
_symmetry_Int_Tables_number 82
_cell_length_a 9.4362
_cell_length_b 9.4362
_cell_length_c 9.2301
_cell_angle_alpha 90.00
_cell_angle_beta 90.00
_cell_angle_gamma 90.00
loop_
_symmetry_equiv_pos_as_xyz
'x,y,z'
'y,-x,-z'
'-x,-y,z'
'-y,x,-z'
'x+1/2,y+1/2,z+1/2'
'y+1/2,-x+1/2,-z+1/2'
'-x+1/2,-y+1/2,z+1/2'
'-y+1/2,x+1/2,-z+1/2'
loop_
_atom_site_label
_atom_site_type_symbol
_atom_site_fract_x
_atom_site_fract_y
_atom_site_fract_z
Pm1 Pm 0.0000 0.0000 0.0000
Pm2 Pm 0.1152 0.2397 0.6307
Sc1 Sc 0.0000 0.5000 0.2500
Tl1 Tl 0.0718 0.3364 0.9686
Tl2 Tl 0.0872 0.1881 0.2890
```

Most intense lines, 2θ = 10–90°, by intensity:
d (Å)  I_rel  (hkl)
2.981  100  1 3 0
2.486  55  2 1 3
2.925  39  1 0 3
2.518  36  3 2 1
2.506  33  3 1 2
1.919  28  2 4 2
3.838  13  1 2 1
1.530  13  1 6 1
1.849  11  1 5 0
3.796  11  1 1 2
1.836  10  1 4 3
1.455  9  4 5 1

***

# 6
Starting from DFT lattice parameters and positions (PBE), the powder diffractogram of Pm2YScTl2 was calculated for Cu Kα, 1.54184 Å.

Atomic structure:
```
data_Pm2YScTl2
_symmetry_space_group_name_H-M 'P m c 21'
_symmetry_Int_Tables_number 26
_cell_length_a 4.9827
_cell_length_b 9.9577
_cell_length_c 6.9756
_cell_angle_alpha 90.00
_cell_angle_beta 90.00
_cell_angle_gamma 90.00
loop_
_symmetry_equiv_pos_as_xyz
'x,y,z'
'-x,-y,z+1/2'
'-x,y,z'
'x,-y,z+1/2'
loop_
_atom_site_label
_atom_site_type_symbol
_atom_site_fract_x
_atom_site_fract_y
_atom_site_fract_z
Pm1 Pm 0.0000 0.0493 0.0000
Pm2 Pm 0.5000 0.1881 0.2804
Y1 Y 0.5000 0.4529 0.8981
Sc1 Sc 0.0000 0.3101 0.6056
Tl1 Tl 0.0000 0.3870 0.1721
Tl2 Tl 0.5000 0.1466 0.7364
```

Most intense lines, 2θ = 10–90°, by intensity:
d (Å)  I_rel  (hkl)
2.747  100  1 1 2
2.762  85  1 3 0
2.857  75  1 0 2
2.491  65  2 0 0
2.568  50  1 3 1
4.052  29  0 2 1
1.609  27  2 2 3
3.755  24  1 1 1
2.404  23  0 3 2
2.027  22  0 4 2
2.997  21  0 3 1
2.107  20  0 2 3

***

Copy entry 4 word for word.
Starting from DFT lattice parameters and positions (PBE), the powder diffractogram of Pm8ScTl6 was calculated for Cu Kα, 1.54184 Å.

Atomic structure:
```
data_Pm8ScTl6
_symmetry_space_group_name_H-M 'R -3'
_symmetry_Int_Tables_number 148
_symmetry_space_group_name_Hall '-R 3'
_cell_length_a 9.2044
_cell_length_b 9.2044
_cell_length_c 19.8043
_cell_angle_alpha 90.00
_cell_angle_beta 90.00
_cell_angle_gamma 120.00
loop_
_atom_site_label
_atom_site_type_symbol
_atom_site_fract_x
_atom_site_fract_y
_atom_site_fract_z
Pm1 Pm 0.0000 0.0000 0.1643
Pm2 Pm 0.0016 0.3396 0.3888
Sc1 Sc 0.0000 0.0000 0.5000
Tl1 Tl 0.9995 0.3183 0.5582
```

Most intense lines, 2θ = 10–90°, by intensity:
d (Å)  I_rel  (hkl)
2.682  100  2 -1 6
2.657  91  3 0 0
1.539  35  5 -1 6
1.888  35  2 2 6
4.602  30  1 1 0
1.553  21  1 1 12
1.197  16  4 1 12
1.534  16  3 3 0
1.191  14  5 2 6
1.341  12  4 -2 12
3.775  12  2 -1 3
1.329  10  6 0 0